Diffraction record for Nd4Y7Ho. The X-ray powder pattern is calculated, not measured: it uses a GGA-PBE-relaxed structure and Cu Kα (λ = 1.5418 Å).
Intensities are scaled so that the largest is 100.

Structural model:
a = 11.550 Å, b = 5.469 Å, c = 13.248 Å
α = 90.00°, β = 104.30°, γ = 90.00°
Space group C2/m (No. 12)
Unique sites:
Nd: 0.038 0.000 0.279 [4 per cell]
Nd: 0.177 0.500 0.763 [4 per cell]
Y: 0.000 0.500 0.500 [2 per cell]
Y: 0.088 0.500 0.128 [4 per cell]
Y: 0.139 0.000 0.968 [4 per cell]
Y: 0.230 0.500 0.397 [4 per cell]
Ho: 0.000 0.000 0.500 [2 per cell]

Top 10 peaks for 5 to 70 degrees two-theta, low angle first:
hkl 0 0 1, 2θ = 6.9°, d 12.838, I = 19; hkl 3 1 0, 2θ = 29.0°, d 3.082, I = 26; hkl 1 1 3, 2θ = 29.1°, d 3.066, I = 90; hkl 3 1 -2, 2θ = 29.5°, d 3.030, I = 100; hkl 0 2 0, 2θ = 32.8°, d 2.734, I = 72; hkl 4 0 1, 2θ = 34.5°, d 2.603, I = 51; hkl 2 0 -5, 2θ = 34.7°, d 2.588, I = 46; hkl 4 2 1, 2θ = 48.3°, d 1.885, I = 39; hkl 2 2 -5, 2θ = 48.4°, d 1.880, I = 35; hkl 1 3 3, 2θ = 56.2°, d 1.636, I = 18

Diffraction record for Hf2Bi3. The X-ray powder pattern is calculated, not measured: it uses a GGA-PBE-relaxed structure and Cu Kα (λ = 1.5418 Å).
Intensities are scaled so that the largest is 100.

Structural model:
a = 7.402 Å, b = 3.794 Å, c = 10.910 Å
α = 90.00°, β = 106.50°, γ = 90.00°
Space group P2_1/m (No. 11)
Unique sites:
Hf: 0.100 0.250 0.149 [2 per cell]
Hf: 0.261 0.250 0.492 [2 per cell]
Bi: 0.020 0.250 0.677 [2 per cell]
Bi: 0.298 0.750 0.012 [2 per cell]
Bi: 0.493 0.750 0.685 [2 per cell]

Top 10 peaks for 5 to 70 degrees two-theta, low angle first:
hkl 2 0 -2, 2θ = 26.0°, d 3.423, I = 38; hkl 1 1 1, 2θ = 29.1°, d 3.070, I = 100; hkl 1 1 -2, 2θ = 29.7°, d 3.007, I = 74; hkl 1 1 2, 2θ = 33.7°, d 2.662, I = 31; hkl 2 0 2, 2θ = 34.3°, d 2.612, I = 62; hkl 1 1 -3, 2θ = 34.6°, d 2.594, I = 90; hkl 2 0 -4, 2θ = 36.4°, d 2.466, I = 30; hkl 3 1 -1, 2θ = 43.8°, d 2.066, I = 62; hkl 1 1 4, 2θ = 46.9°, d 1.938, I = 26; hkl 0 2 0, 2θ = 48.0°, d 1.897, I = 36

Diffraction record for Pb7O16. The X-ray powder pattern is calculated, not measured: it uses a GGA-PBE-relaxed structure and Cu Kα (λ = 1.5418 Å).
Intensities are scaled so that the largest is 100.

Structural model:
a = 9.538 Å, b = 12.866 Å, c = 7.322 Å
α = 90.00°, β = 129.50°, γ = 90.00°
Space group C2 (No. 5)
Unique sites:
Pb: 0.000 0.000 0.000 [2 per cell]
Pb: 0.000 0.093 0.500 [2 per cell]
Pb: 0.000 0.508 0.000 [2 per cell]
Pb: 0.242 0.349 0.500 [4 per cell]
Pb: 0.242 0.755 0.976 [4 per cell]
O: 0.014 0.649 0.847 [4 per cell]
O: 0.028 0.875 0.811 [4 per cell]
O: 0.053 0.384 0.831 [4 per cell]
O: 0.068 0.114 0.846 [4 per cell]
O: 0.182 0.234 0.663 [4 per cell]
O: 0.209 0.472 0.688 [4 per cell]
O: 0.227 0.986 0.658 [4 per cell]
O: 0.240 0.732 0.688 [4 per cell]

Top 10 peaks for 5 to 70 degrees two-theta, low angle first:
hkl 2 2 -1, 2θ = 23.2°, d 3.831, I = 69; hkl 2 2 0, 2θ = 27.9°, d 3.194, I = 100; hkl 2 2 -2, 2θ = 28.4°, d 3.148, I = 97; hkl 0 0 2, 2θ = 31.7°, d 2.825, I = 41; hkl 0 4 1, 2θ = 32.0°, d 2.795, I = 70; hkl 4 0 -2, 2θ = 37.7°, d 2.384, I = 23; hkl 2 6 -1, 2θ = 46.4°, d 1.956, I = 37; hkl 4 4 -1, 2θ = 50.0°, d 1.823, I = 28; hkl 4 0 -4, 2θ = 50.6°, d 1.805, I = 45; hkl 0 4 3, 2θ = 56.6°, d 1.625, I = 23